Record 1
The following is a calculated X-ray powder pattern of TbCu5Sn. It was derived from a structure optimized by DFT (GGA-PBE), using copper Kα.
Kinematic intensities with the Lorentz-polarization factor, no thermal factor.

Cell and atoms:
```
TbCu5Sn
1.0
8.227 0.000 0.000
0.000 5.018 0.000
0.000 0.000 10.560
Tb Cu Sn
4 20 4
Direct
0.247 0.250 0.063
0.253 0.750 0.563
0.747 0.250 0.437
0.753 0.750 0.937
0.059 0.750 0.102
0.065 0.001 0.313
0.065 0.499 0.313
0.087 0.250 0.518
0.186 0.250 0.746
0.314 0.750 0.246
0.413 0.750 0.018
0.435 0.501 0.813
0.435 0.999 0.813
0.441 0.250 0.602
0.559 0.750 0.398
0.565 0.001 0.187
0.565 0.499 0.187
0.587 0.250 0.982
0.686 0.250 0.754
0.814 0.750 0.254
0.913 0.750 0.482
0.935 0.501 0.687
0.935 0.999 0.687
0.941 0.250 0.898
0.141 0.750 0.861
0.359 0.250 0.361
0.641 0.750 0.639
0.859 0.250 0.139
```

Largest 10 diffraction maxima, sorted by position, 10 to 90 degrees two-theta:
31.0 deg, I 34
35.8 deg, I 89
38.1 deg, I 79
38.4 deg, I 100
41.3 deg, I 28
43.1 deg, I 36
44.6 deg, I 47
45.8 deg, I 49
66.1 deg, I 36
70.8 deg, I 26

Record 2
The following is a calculated X-ray powder pattern of Tb3Cu4Sn4. It was derived from a structure optimized by DFT (GGA-PBE), using copper Kα.
Kinematic intensities with the Lorentz-polarization factor, no thermal factor.

Cell and atoms:
```
Tb3Cu4Sn4
1.0
-2.239 3.482 7.378
2.239 -3.482 7.378
2.239 3.482 -7.378
Tb Cu Sn
3 4 4
Direct
0.000 0.000 0.000
0.368 0.868 0.500
0.632 0.132 0.500
0.018 0.330 0.688
0.358 0.670 0.688
0.642 0.330 0.312
0.982 0.670 0.312
0.216 0.216 0.000
0.297 0.500 0.797
0.703 0.500 0.203
0.784 0.784 0.000
```

Largest 10 diffraction maxima, sorted by position, 10 to 90 degrees two-theta:
33.0 deg, I 28
33.2 deg, I 100
34.0 deg, I 100
36.5 deg, I 21
40.3 deg, I 44
43.1 deg, I 23
45.1 deg, I 24
60.4 deg, I 17
68.2 deg, I 21
76.1 deg, I 17

Record 3
The following is a calculated X-ray powder pattern of TbCuSn. It was derived from a structure optimized by DFT (GGA-PBE), using copper Kα.
Kinematic intensities with the Lorentz-polarization factor, no thermal factor.

Cell and atoms:
```
TbCuSn
1.0
4.544 0.000 0.000
-2.272 3.936 0.000
0.000 0.000 7.524
Tb Cu Sn
2 2 2
Direct
0.000 0.000 0.000
0.000 0.000 0.500
0.333 0.667 0.250
0.667 0.333 0.750
0.333 0.667 0.750
0.667 0.333 0.250
```

Largest 10 diffraction maxima, sorted by position, 10 to 90 degrees two-theta:
22.6 deg, I 8
32.9 deg, I 100
39.7 deg, I 57
48.4 deg, I 11
52.5 deg, I 27
64.3 deg, I 28
67.7 deg, I 25
72.0 deg, I 10
80.4 deg, I 8
85.5 deg, I 6

Record 4
The following is a calculated X-ray powder pattern of Cu2SnTe3. It was derived from a structure optimized by DFT (GGA-PBE), using copper Kα.
Kinematic intensities with the Lorentz-polarization factor, no thermal factor.

Cell and atoms:
```
Cu2SnTe3
1.0
0.000 13.133 6.171
4.397 0.000 6.171
4.397 13.133 0.000
Cu Sn Te
8 4 12
Direct
0.000 0.000 0.000
0.250 0.250 0.250
0.331 0.649 0.336
0.493 0.493 0.507
0.566 0.914 0.601
0.649 0.331 0.684
0.743 0.743 0.757
0.914 0.566 0.919
0.084 0.403 0.078
0.172 0.814 0.166
0.403 0.084 0.436
0.814 0.172 0.847
0.019 0.214 0.328
0.111 0.604 0.401
0.214 0.019 0.439
0.275 0.483 0.558
0.366 0.849 0.646
0.483 0.275 0.684
0.566 0.692 0.767
0.604 0.111 0.884
0.692 0.566 0.975
0.811 0.922 0.036
0.849 0.366 0.139
0.922 0.811 0.231
```

Largest 10 diffraction maxima, sorted by position, 10 to 90 degrees two-theta:
24.9 deg, I 100
41.1 deg, I 12
41.3 deg, I 60
48.6 deg, I 14
48.8 deg, I 14
48.9 deg, I 15
59.6 deg, I 7
65.7 deg, I 8
74.9 deg, I 6
75.2 deg, I 10

Record 5
The following is a calculated X-ray powder pattern of Cu2SnTe3. It was derived from a structure optimized by DFT (GGA-PBE), using copper Kα.
Kinematic intensities with the Lorentz-polarization factor, no thermal factor.

Cell and atoms:
```
Cu2SnTe3
1.0
3.777 -6.531 0.000
3.777 6.531 0.000
-2.541 0.000 7.124
Cu Sn Te
4 2 6
Direct
0.082 0.918 0.500
0.262 0.764 0.001
0.764 0.262 0.501
0.918 0.082 0.000
0.429 0.609 0.515
0.609 0.429 0.015
0.000 0.830 0.136
0.110 0.638 0.639
0.269 0.460 0.112
0.460 0.269 0.612
0.638 0.110 0.139
0.830 0.000 0.636
```

Largest 10 diffraction maxima, sorted by position, 10 to 90 degrees two-theta:
25.0 deg, I 100
41.4 deg, I 72
48.9 deg, I 15
49.0 deg, I 28
60.1 deg, I 7
66.0 deg, I 11
66.1 deg, I 6
75.6 deg, I 8
75.6 deg, I 6
81.1 deg, I 6

Record 6
The following is a calculated X-ray powder pattern of Cu2SnTe3. It was derived from a structure optimized by DFT (GGA-PBE), using copper Kα.
Kinematic intensities with the Lorentz-polarization factor, no thermal factor.

Cell and atoms:
```
Cu2SnTe3
1.0
-2.205 6.547 3.057
2.205 -6.547 3.057
2.205 6.547 -3.057
Cu Sn Te
2 1 3
Direct
0.170 0.000 0.170
0.830 0.000 0.830
0.527 0.027 0.500
0.220 0.220 0.000
0.599 0.279 0.320
0.960 0.279 0.680
```

Largest 10 diffraction maxima, sorted by position, 10 to 90 degrees two-theta:
24.9 deg, I 89
25.1 deg, I 82
40.9 deg, I 23
41.5 deg, I 100
48.6 deg, I 27
48.9 deg, I 25
49.3 deg, I 22
59.6 deg, I 14
66.0 deg, I 13
74.9 deg, I 14

Record 7
The following is a calculated X-ray powder pattern of Tl2Cu2SnTe4. It was derived from a structure optimized by DFT (GGA-PBE), using copper Kα.
Kinematic intensities with the Lorentz-polarization factor, no thermal factor.

Cell and atoms:
```
Tl2Cu2SnTe4
1.0
0.000 6.154 3.597
5.985 0.000 3.597
5.985 6.154 0.000
Tl Cu Sn Te
2 2 1 4
Direct
0.000 0.000 0.500
0.500 0.500 0.000
0.212 0.984 0.788
0.984 0.212 0.016
0.505 0.505 0.495
0.069 0.410 0.590
0.410 0.069 0.931
0.571 0.937 0.429
0.937 0.571 0.063
```

Largest 10 diffraction maxima, sorted by position, 10 to 90 degrees two-theta:
26.1 deg, I 23
26.6 deg, I 32
28.7 deg, I 13
29.0 deg, I 45
29.9 deg, I 17
32.5 deg, I 100
32.7 deg, I 20
33.3 deg, I 23
45.7 deg, I 19
49.5 deg, I 18

Record 8
The following is a calculated X-ray powder pattern of ZnCu2SnTe4. It was derived from a structure optimized by DFT (GGA-PBE), using copper Kα.
Kinematic intensities with the Lorentz-polarization factor, no thermal factor.

Cell and atoms:
```
ZnCu2SnTe4
1.0
-3.083 3.083 6.189
3.083 -3.083 6.189
3.083 3.083 -6.189
Zn Cu Sn Te
1 2 1 4
Direct
0.000 0.000 0.000
0.250 0.750 0.500
0.750 0.250 0.500
0.500 0.500 0.000
0.102 0.102 0.479
0.377 0.898 0.000
0.623 0.623 0.521
0.898 0.377 0.000
```

Largest 10 diffraction maxima, sorted by position, 10 to 90 degrees two-theta:
25.0 deg, I 100
41.4 deg, I 73
48.8 deg, I 14
49.0 deg, I 31
60.0 deg, I 8
65.9 deg, I 11
66.0 deg, I 6
75.3 deg, I 7
75.5 deg, I 15
81.0 deg, I 7